# Li3NiF6
Computed powder diffraction line list, λ = 1.5418 Å (Cu Kα). Input: the PBE+U geometry in Alexandria.

Cell and atoms:
a = 9.6628 Å, b = 8.4777 Å, c = 5.0304 Å
α = 90.00°, β = 90.00°, γ = 90.00°
Space group Pna2_1 (No. 33)
Symmetry-distinct sites (fractional):
1 Li 0.1037 0.0529 0.0000
2 Li 0.1235 0.6368 0.4879
3 Li 0.1486 0.4481 0.9906
4 Ni 0.1297 0.2603 0.4934
5 F 0.0133 0.4169 0.6692
6 F 0.0253 0.0950 0.6459
7 F 0.0246 0.2553 0.1697
8 F 0.2281 0.4381 0.3483
9 F 0.2410 0.2660 0.8072
10 F 0.2482 0.1122 0.3123

Top 12 peaks for 2θ = 10–90°, by angle:
hkl, Position (°2θ), I (rel.)
0 1 1, 20.53, 63
0 2 0, 20.96, 30
2 1 0, 21.17, 100
2 0 1, 25.56, 41
2 2 1, 33.28, 41
2 0 2, 40.43, 24
2 3 1, 41.13, 45
2 1 2, 41.87, 16
4 1 1, 42.88, 14
4 0 2, 52.52, 21
4 3 1, 53.09, 33
0 3 3, 64.63, 27